[1]
This entry pairs a crystal structure of ThF4 with its theoretical XRD peak list. Radiation: λ = 1.5418 Å (Cu Kα). Structure: a crystal structure in the Materials Project, relaxed with GGA-PBE.
Lines closer than 0.1° are merged.

Crystal structure
a b c (Å): 8.6123 8.6123 8.6105
angles (deg): 116.77 116.77 80.22
Fractional positions:
Th  0.2127  0.7873  0.7500
Th  0.2243  0.3679  0.1698
Th  0.3679  0.2243  0.6698
Th  0.6321  0.7757  0.3302
Th  0.7757  0.6321  0.8302
Th  0.7873  0.2127  0.2500
F  0.0000  0.5000  0.0000
F  0.0265  0.7222  0.8446
F  0.0671  0.1753  0.4574
F  0.1753  0.0671  0.9574
F  0.1872  0.5979  0.4317
F  0.2606  0.3185  0.8974
F  0.2626  0.5030  0.7196
F  0.2778  0.9735  0.6554
F  0.3185  0.2606  0.3974
F  0.3967  0.6033  0.2500
F  0.4021  0.8128  0.0683
F  0.4970  0.7374  0.7804
F  0.5000  0.0000  0.5000
F  0.5030  0.2626  0.2196
F  0.5979  0.1872  0.9317
F  0.6033  0.3967  0.7500
F  0.6815  0.7394  0.6026
F  0.7222  0.0265  0.3446
F  0.7374  0.4970  0.2804
F  0.7394  0.6815  0.1026
F  0.8128  0.4021  0.5683
F  0.8247  0.9329  0.0426
F  0.9329  0.8247  0.5426
F  0.9735  0.2778  0.1554

The 12 most intense peaks (10° ≤ 2θ ≤ 90°), sorted by position:
two_theta  intensity
20.5  100
21.9  58
23.2  91
24.3  42
25.6  22
26.2  46
26.4  26
42.2  29
42.4  27
43.9  22
45.3  41
46.9  23

=====

[2]
This entry pairs a crystal structure of ThTlF5 with its theoretical XRD peak list. Radiation: λ = 1.5418 Å (Cu Kα). Structure: a crystal structure in the Materials Project, relaxed with GGA-PBE.
Lines closer than 0.1° are merged.

Crystal structure
a b c (Å): 8.2604 7.3367 8.9812
angles (deg): 90.00 117.38 90.00
Fractional positions:
Th  0.0816  0.1558  0.3602
Th  0.0816  0.3442  0.8602
Th  0.9184  0.6558  0.1398
Th  0.9184  0.8442  0.6398
Tl  0.4211  0.6260  0.6545
Tl  0.4211  0.8740  0.1545
Tl  0.5789  0.1260  0.8455
Tl  0.5789  0.3740  0.3455
F  0.1316  0.2040  0.1231
F  0.1316  0.2960  0.6231
F  0.1553  0.0220  0.8576
F  0.1553  0.4780  0.3576
F  0.1625  0.5759  0.0712
F  0.1625  0.9241  0.5712
F  0.1689  0.6393  0.7833
F  0.1689  0.8607  0.2833
F  0.3861  0.1829  0.4918
F  0.3861  0.3171  0.9918
F  0.6139  0.6829  0.0082
F  0.6139  0.8171  0.5082
F  0.8311  0.1393  0.7167
F  0.8311  0.3607  0.2167
F  0.8375  0.0759  0.4288
F  0.8375  0.4241  0.9288
F  0.8447  0.5220  0.6424
F  0.8447  0.9780  0.1424
F  0.8684  0.7040  0.3769
F  0.8684  0.7960  0.8769

The 12 most intense peaks (10° ≤ 2θ ≤ 90°), sorted by position:
two_theta  intensity
23.3  36
24.3  57
25.4  47
27.2  100
32.5  15
41.4  12
42.1  18
42.3  29
44.5  20
48.2  15
49.7  13
51.4  13

=====

[3]
This entry pairs a crystal structure of ThTl3F7 with its theoretical XRD peak list. Radiation: λ = 1.5418 Å (Cu Kα). Structure: a crystal structure in the Materials Project, relaxed with GGA-PBE.
Lines closer than 0.1° are merged.

Crystal structure
a b c (Å): 10.8744 10.8744 8.5850
angles (deg): 90.00 90.00 125.63
Fractional positions:
Th  0.1084  0.8916  0.5010
Th  0.1084  0.8916  0.9990
Th  0.8916  0.1084  0.0010
Th  0.8916  0.1084  0.4990
Tl  0.0242  0.5092  0.7500
Tl  0.2922  0.3236  0.7500
Tl  0.3236  0.2922  0.2500
Tl  0.3636  0.6364  0.0328
Tl  0.3636  0.6364  0.4672
Tl  0.4908  0.9758  0.7500
Tl  0.5092  0.0242  0.2500
Tl  0.6364  0.3636  0.5328
Tl  0.6364  0.3636  0.9672
Tl  0.6764  0.7078  0.7500
Tl  0.7078  0.6764  0.2500
Tl  0.9758  0.4908  0.2500
F  0.0204  0.2312  0.2500
F  0.0517  0.9483  0.2500
F  0.0866  0.3581  0.5540
F  0.0866  0.3581  0.9460
F  0.1295  0.1295  0.0000
F  0.1295  0.1295  0.5000
F  0.1786  0.8214  0.2500
F  0.2225  0.7775  0.5659
F  0.2225  0.7775  0.9341
F  0.2312  0.0204  0.7500
F  0.3581  0.0866  0.0540
F  0.3581  0.0866  0.4460
F  0.3642  0.6358  0.7500
F  0.5000  0.5000  0.0000
F  0.5000  0.5000  0.5000
F  0.6358  0.3642  0.2500
F  0.6419  0.9134  0.5540
F  0.6419  0.9134  0.9460
F  0.7688  0.9796  0.2500
F  0.7775  0.2225  0.0659
F  0.7775  0.2225  0.4341
F  0.8214  0.1786  0.7500
F  0.8705  0.8705  0.0000
F  0.8705  0.8705  0.5000
F  0.9134  0.6419  0.0540
F  0.9134  0.6419  0.4460
F  0.9483  0.0517  0.7500
F  0.9796  0.7688  0.7500

The 12 most intense peaks (10° ≤ 2θ ≤ 90°), sorted by position:
two_theta  intensity
25.7  100
27.5  96
27.8  95
36.2  21
37.2  24
41.6  15
42.1  22
46.2  41
46.8  31
50.0  33
52.8  14
57.4  14